1.
For P3Rh2, a crystal structure in Alexandria, relaxed with GGA-PBE gives the simulated powder XRD pattern in this record (λ = 1.5418 Å (Cu Kα)).
Peak positions follow from Bragg's law for the DFT cell and can differ from measured ones.

The 10 most intense peaks (10 to 90 degrees two-theta), sorted by position:
2θ/deg, I (rel.)
26.5, 32
30.7, 100
41.0, 56
46.7, 55
54.6, 33
56.9, 33
63.9, 16
74.6, 14
76.6, 11
82.8, 17

Cell and atoms:
Cell: 3.8878 3.8878 5.8243 Å, 90.00 90.00 120.00°
Fractional positions:
P 0.0000 0.0000 0.0000
P 0.3333 0.6667 0.3709
P 0.6667 0.3333 0.6291
Rh 0.3333 0.6667 0.7817
Rh 0.6667 0.3333 0.2183

***

2.
For UC3SN2O8, a crystal structure in Alexandria, relaxed with GGA-PBE gives the simulated powder XRD pattern in this record (λ = 1.5418 Å (Cu Kα)).
Peak positions follow from Bragg's law for the DFT cell and can differ from measured ones.

The 10 most intense peaks (10 to 90 degrees two-theta), sorted by position:
2θ/deg, I (rel.)
12.2, 100
13.5, 20
14.3, 35
14.8, 35
15.4, 31
19.2, 17
20.1, 16
20.3, 30
23.9, 38
32.0, 23

Cell and atoms:
Cell: 7.8785 7.8785 12.0105 Å, 90.16 90.16 112.62°
Fractional positions:
U 0.0728 0.9272 0.7500
U 0.9272 0.0728 0.2500
C 0.0476 0.9365 0.4806
C 0.0635 0.9524 0.0194
C 0.3544 0.6456 0.7500
C 0.6456 0.3544 0.2500
C 0.9365 0.0476 0.9806
C 0.9524 0.0635 0.5194
S 0.4776 0.5224 0.7500
S 0.5224 0.4776 0.2500
N 0.2637 0.7363 0.7500
N 0.2789 0.7211 0.2500
N 0.7211 0.2789 0.7500
N 0.7363 0.2637 0.2500
O 0.0637 0.9240 0.3764
O 0.0744 0.4958 0.9888
O 0.0760 0.9363 0.1236
O 0.1005 0.8577 0.5568
O 0.1350 0.2788 0.2431
O 0.1423 0.8995 0.9432
O 0.2788 0.1350 0.7431
O 0.4958 0.0744 0.4888
O 0.5042 0.9256 0.5112
O 0.7212 0.8650 0.2569
O 0.8577 0.1005 0.0568
O 0.8650 0.7212 0.7569
O 0.8995 0.1423 0.4432
O 0.9240 0.0637 0.8764
O 0.9256 0.5042 0.0112
O 0.9363 0.0760 0.6236

***

3.
For CeThGe, a crystal structure in Alexandria, relaxed with GGA-PBE gives the simulated powder XRD pattern in this record (λ = 1.5418 Å (Cu Kα)).
Peak positions follow from Bragg's law for the DFT cell and can differ from measured ones.

The 10 most intense peaks (10 to 90 degrees two-theta), sorted by position:
2θ/deg, I (rel.)
26.0, 44
31.3, 100
31.4, 39
33.5, 44
36.3, 52
42.1, 51
52.4, 22
53.5, 36
54.9, 22
70.3, 36

Cell and atoms:
Cell: 9.0577 9.0577 9.0577 Å, 152.59 152.59 39.15°
Fractional positions:
Ce 0.0000 0.5000 0.5000
Ce 0.5000 0.0000 0.5000
Th 0.1795 0.1795 0.0000
Th 0.8205 0.8205 0.0000
Ge 0.3645 0.3645 0.0000
Ge 0.6355 0.6355 0.0000